Starting from a crystal structure in Alexandria, relaxed with PBE, the powder XRD pattern of Ac2LaDyY was simulated for Cu Kα, 1.54184 Å.
Lines closer than 0.1° are merged.

Crystal structure
```
Ac2LaDyY
1.0
6.510 0.000 0.000
0.000 8.968 0.000
0.000 0.000 6.751
Ac La Dy Y
4 2 2 2
Cartesian
1.628 1.826 1.441
1.628 7.143 1.441
4.883 1.826 5.309
4.883 7.143 5.309
1.628 4.484 6.222
4.883 4.484 0.529
0.000 4.484 3.375
3.255 4.484 3.375
1.628 0.000 4.633
4.883 0.000 2.117
```

Most intense lines, 2θ from 10° to 90°, most intense first:
(1 2 1), 2θ = 27.53°, d 3.240, I 100.0
(1 0 1), 2θ = 18.94°, d 4.686, I 36.1
(0 1 2), 2θ = 28.25°, d 3.159, I 31.3
(0 2 2), 2θ = 33.22°, d 2.697, I 30.3
(0 3 0), 2θ = 29.88°, d 2.990, I 26.8
(2 0 0), 2θ = 27.40°, d 3.255, I 25.5
(1 3 1), 2θ = 35.62°, d 2.520, I 24.2
(2 0 2), 2θ = 38.42°, d 2.343, I 24.0
(2 1 1), 2θ = 32.12°, d 2.787, I 21.7
(3 2 1), 2θ = 48.52°, d 1.876, I 21.6
(2 3 1), 2θ = 43.22°, d 2.093, I 18.0
(2 0 1), 2θ = 30.49°, d 2.932, I 17.9



Starting from a crystal structure in Alexandria, relaxed with PBE, the powder XRD pattern of AcLaDyY2 was simulated for Cu Kα, 1.54184 Å.
Lines closer than 0.1° are merged.

Crystal structure
```
AcLaDyY2
1.0
6.427 0.000 0.000
0.000 5.915 0.000
-3.202 0.000 9.369
Ac La Dy Y
2 2 2 4
Cartesian
-0.512 1.479 2.849
3.737 4.436 6.520
0.568 4.436 0.914
2.657 1.479 8.455
0.553 4.436 4.703
2.672 1.479 4.666
-0.478 1.479 6.578
2.693 1.479 0.920
0.533 4.436 8.449
3.703 4.436 2.791
```

Most intense lines, 2θ from 10° to 90°, most intense first:
(1 1 2), 2θ = 31.50°, d 2.840, I 100.0
(2 1 -1), 2θ = 31.69°, d 2.824, I 49.0
(0 2 0), 2θ = 30.22°, d 2.957, I 37.0
(1 0 -3), 2θ = 27.55°, d 3.237, I 23.0
(3 2 -4), 2θ = 58.64°, d 1.574, I 22.5
(1 3 2), 2θ = 54.49°, d 1.684, I 21.3
(3 0 -4), 2θ = 48.97°, d 1.860, I 19.3
(2 1 -6), 2θ = 59.18°, d 1.561, I 16.2
(1 2 -3), 2θ = 41.35°, d 2.183, I 15.5
(2 0 -1), 2θ = 27.76°, d 3.214, I 11.9
(0 2 5), 2θ = 58.29°, d 1.583, I 11.7
(2 3 -1), 2θ = 54.61°, d 1.680, I 10.4



Starting from a crystal structure in Alexandria, relaxed with PBE, the powder XRD pattern of Li2AcDyPd5 was simulated for Cu Kα, 1.54184 Å.
Lines closer than 0.1° are merged.

Crystal structure
```
Li2AcDyPd5
1.0
4.530 0.000 0.000
0.000 4.530 0.000
0.000 0.000 8.086
Li Ac Dy Pd
2 1 1 5
Cartesian
0.000 0.000 1.146
0.000 0.000 6.940
2.265 2.265 4.043
2.265 2.265 0.000
0.000 0.000 4.043
0.000 2.265 1.955
0.000 2.265 6.130
2.265 0.000 1.955
2.265 0.000 6.130
```

Most intense lines, 2θ from 10° to 90°, most intense first:
(1 1 2), 2θ = 35.77°, d 2.511, I 100.0
(2 0 0), 2θ = 39.80°, d 2.265, I 38.4
(3 1 2), 2θ = 69.64°, d 1.350, I 28.3
(2 0 4), 2θ = 61.48°, d 1.508, I 20.8
(1 0 0), 2θ = 19.60°, d 4.530, I 17.7
(0 0 4), 2θ = 44.81°, d 2.023, I 17.3
(1 0 2), 2θ = 29.62°, d 3.016, I 14.5
(2 2 0), 2θ = 57.55°, d 1.601, I 13.0
(2 2 4), 2θ = 75.77°, d 1.255, I 11.8
(1 1 6), 2θ = 76.72°, d 1.242, I 10.5
(0 0 1), 2θ = 10.94°, d 8.086, I 9.1
(2 1 2), 2θ = 50.38°, d 1.811, I 6.9



Starting from a crystal structure in Alexandria, relaxed with PBE, the powder XRD pattern of Li2AcDySi2 was simulated for Cu Kα, 1.54184 Å.
Lines closer than 0.1° are merged.

Crystal structure
```
Li2AcDySi2
1.0
4.502 0.000 0.000
-2.251 3.899 0.000
0.000 0.000 7.658
Li Ac Dy Si
2 1 1 2
Cartesian
0.000 2.599 1.446
2.251 1.300 6.212
0.000 0.000 3.829
0.000 0.000 0.000
0.000 2.599 5.978
2.251 1.300 1.680
```

Most intense lines, 2θ from 10° to 90°, most intense first:
(1 0 2), 2θ = 32.78°, d 2.732, I 100.0
(1 0 0), 2θ = 22.81°, d 3.899, I 87.0
(1 1 0), 2θ = 40.05°, d 2.251, I 34.5
(0 2 2), 2θ = 52.69°, d 1.737, I 26.5
(2 1 2), 2θ = 68.19°, d 1.375, I 24.7
(0 0 2), 2θ = 23.23°, d 3.829, I 23.4
(1 1 2), 2θ = 46.81°, d 1.941, I 23.1
(0 1 4), 2θ = 53.31°, d 1.719, I 20.0
(1 1 4), 2θ = 63.82°, d 1.458, I 15.8
(2 0 0), 2θ = 46.59°, d 1.949, I 13.7
(1 2 4), 2θ = 82.62°, d 1.168, I 11.6
(2 1 0), 2θ = 63.08°, d 1.474, I 11.2